Diffraction record for Er2InCu12Ni3. The powder XRD pattern is theoretical, not measured: it uses a crystal structure in Alexandria, relaxed with PBE and Cu Kα, 1.54184 Å.
Neutral-atom scattering factors, no anomalous dispersion.

Largest 10 diffraction maxima, low angle first, 2θ from 10° to 90°:
index	2theta	Rel. int.
1 0 4	31.46	18
1 2 2	35.27	18
0 2 4	38.03	16
2 2 0	42.35	100
2 1 4	43.74	23
2 0 5	44.17	44
1 2 5	49.29	10
0 4 5	62.85	13
6 0 0	77.47	15
4 2 5	78.74	12

Crystal structure
```
data_Er2InCu12Ni3
_cell_length_a 8.5364
_cell_length_b 8.5364
_cell_length_c 12.3216
_cell_angle_alpha 90.00
_cell_angle_beta 90.00
_cell_angle_gamma 120.00
_symmetry_space_group_name_H-M 'R -3 m'
_symmetry_Int_Tables_number 166
_symmetry_space_group_name_Hall '-R 3 2"'
loop_
_atom_site_label
_atom_site_type_symbol
_atom_site_fract_x
_atom_site_fract_y
_atom_site_fract_z
_atom_site_occupancy
Er1 Er 0.0000 0.0000 0.2402 1
In1 In 0.0000 0.0000 0.5000 1
Cu1 Cu 0.0000 0.5000 0.2047 1
Cu2 Cu 0.0409 0.5205 0.6012 1
Ni1 Ni 0.0000 0.5000 0.0000 1
```

Diffraction record for ErIn4CuO8. The powder XRD pattern is theoretical, not measured: it uses a crystal structure in Alexandria, relaxed with PBE and Cu Kα, 1.54184 Å.
Neutral-atom scattering factors, no anomalous dispersion.

Largest 10 diffraction maxima, low angle first, 2θ from 10° to 90°:
index	2theta	Rel. int.
1 0 1	16.64	30
1 1 0	27.36	19
0 1 5	31.99	39
1 1 3	32.14	100
2 0 2	33.65	30
0 2 4	38.97	28
0 3 3	51.41	43
2 0 8	56.12	29
2 2 0	56.47	29
4 1 3	79.87	16

Crystal structure
```
data_ErIn4CuO8
_cell_length_a 6.5184
_cell_length_b 6.5184
_cell_length_c 16.1056
_cell_angle_alpha 90.00
_cell_angle_beta 90.00
_cell_angle_gamma 120.00
_symmetry_space_group_name_H-M 'R 3 m'
_symmetry_Int_Tables_number 160
_symmetry_space_group_name_Hall 'R 3 -2"'
loop_
_atom_site_label
_atom_site_type_symbol
_atom_site_fract_x
_atom_site_fract_y
_atom_site_fract_z
_atom_site_occupancy
Er1 Er 0.0000 0.0000 0.0000 1
In1 In 0.0000 0.0000 0.6202 1
In2 In 0.1696 0.3392 0.8290 1
Cu1 Cu 0.0000 0.0000 0.3691 1
O1 O 0.0000 0.0000 0.2378 1
O2 O 0.0000 0.0000 0.7556 1
O3 O 0.0202 0.5101 0.7508 1
O4 O 0.1776 0.3553 0.5758 1
```

Diffraction record for ErInCuPt. The powder XRD pattern is theoretical, not measured: it uses a crystal structure in Alexandria, relaxed with PBE and Cu Kα, 1.54184 Å.
Neutral-atom scattering factors, no anomalous dispersion.

Largest 9 diffraction maxima, low angle first, 2θ from 10° to 90°:
index	2theta	Rel. int.
1 1 1	22.94	14
2 2 0	37.90	100
3 1 1	44.77	8
4 0 0	54.68	17
3 3 1	60.07	3
4 2 2	68.46	35
5 1 1	73.26	3
4 4 0	81.01	11
5 3 1	85.58	3

Crystal structure
```
data_ErInCuPt
_cell_length_a 6.714
_cell_length_b 6.714
_cell_length_c 6.714
_cell_angle_alpha 90.00
_cell_angle_beta 90.00
_cell_angle_gamma 90.00
_symmetry_space_group_name_H-M 'F -4 3 m'
_symmetry_Int_Tables_number 216
_symmetry_space_group_name_Hall 'F -4 2 3'
loop_
_atom_site_label
_atom_site_type_symbol
_atom_site_fract_x
_atom_site_fract_y
_atom_site_fract_z
_atom_site_occupancy
Er1 Er 0.000 0.000 0.000 1
In1 In 0.000 0.000 0.500 1
Cu1 Cu 0.250 0.250 0.750 1
Pt1 Pt 0.250 0.250 0.250 1
```

Diffraction record for Er4Cu2Ir. The powder XRD pattern is theoretical, not measured: it uses a crystal structure in Alexandria, relaxed with PBE and Cu Kα, 1.54184 Å.
Neutral-atom scattering factors, no anomalous dispersion.

Largest 10 diffraction maxima, low angle first, 2θ from 10° to 90°:
index	2theta	Rel. int.
1 1 0	14.44	40
2 2 -2	30.03	36
3 1 0	31.45	100
3 1 -3	33.30	72
1 3 0	33.81	81
1 1 2	37.67	42
5 1 -2	38.42	63
5 1 -3	39.29	48
1 3 1	39.46	61
3 3 -2	40.17	37

Crystal structure
```
data_Er4Cu2Ir
_cell_length_a 12.323
_cell_length_b 8.315
_cell_length_c 8.524
_cell_angle_alpha 90.00
_cell_angle_beta 132.52
_cell_angle_gamma 90.00
_symmetry_space_group_name_H-M 'C 1 2 1'
_symmetry_Int_Tables_number 5
_symmetry_space_group_name_Hall 'C 2y'
loop_
_atom_site_label
_atom_site_type_symbol
_atom_site_fract_x
_atom_site_fract_y
_atom_site_fract_z
_atom_site_occupancy
Er1 Er 0.019 0.000 0.226 1
Er2 Er 0.152 0.625 0.851 1
Er3 Er 0.174 0.391 0.232 1
Er4 Er 0.182 0.291 0.630 1
Cu1 Cu 0.000 0.708 0.000 1
Cu2 Cu 0.000 0.838 0.500 1
Cu3 Cu 0.161 0.628 0.482 1
Ir1 Ir 0.078 0.308 0.832 1
```

Diffraction record for Er2CuIrO6. The powder XRD pattern is theoretical, not measured: it uses a crystal structure in Alexandria, relaxed with PBE and Cu Kα, 1.54184 Å.
Neutral-atom scattering factors, no anomalous dispersion.

Largest 10 diffraction maxima, low angle first, 2θ from 10° to 90°:
index	2theta	Rel. int.
1 0 1	19.68	16
0 1 2	22.44	25
1 0 4	31.25	94
1 1 0	32.63	100
0 2 4	45.81	38
2 -1 6	50.65	38
3 -1 4	57.37	36
3 0 0	58.23	27
2 2 0	68.35	25
1 3 4	77.08	14

Crystal structure
```
data_Er2CuIrO6
_cell_length_a 5.4889
_cell_length_b 5.4889
_cell_length_c 14.3377
_cell_angle_alpha 90.00
_cell_angle_beta 90.00
_cell_angle_gamma 120.00
_symmetry_space_group_name_H-M 'R 3'
_symmetry_Int_Tables_number 146
_symmetry_space_group_name_Hall 'R 3'
loop_
_atom_site_label
_atom_site_type_symbol
_atom_site_fract_x
_atom_site_fract_y
_atom_site_fract_z
_atom_site_occupancy
Er1 Er 0.0000 0.0000 0.0000 1
Er2 Er 0.0000 0.0000 0.4932 1
Cu1 Cu 0.0000 0.0000 0.2192 1
Ir1 Ir 0.0000 0.0000 0.7019 1
O1 O 0.0491 0.3388 0.7744 1
O2 O 0.0585 0.6939 0.2785 1
```

Diffraction record for KEr2CuSe4. The powder XRD pattern is theoretical, not measured: it uses a crystal structure in Alexandria, relaxed with PBE and Cu Kα, 1.54184 Å.
Neutral-atom scattering factors, no anomalous dispersion.

Largest 10 diffraction maxima, low angle first, 2θ from 10° to 90°:
index	2theta	Rel. int.
0 2 1	14.08	80
0 2 3	22.59	50
0 2 4	28.01	31
1 3 1	29.71	58
1 3 2	31.67	100
0 2 5	33.84	45
1 1 5	38.95	33
0 6 3	43.17	40
1 5 3	43.52	73
2 0 0	44.30	37

Crystal structure
```
data_KEr2CuSe4
_cell_length_a 4.090
_cell_length_b 14.000
_cell_length_c 14.310
_cell_angle_alpha 90.00
_cell_angle_beta 90.00
_cell_angle_gamma 90.00
_symmetry_space_group_name_H-M 'C m c m'
_symmetry_Int_Tables_number 63
_symmetry_space_group_name_Hall '-C 2c 2'
loop_
_atom_site_label
_atom_site_type_symbol
_atom_site_fract_x
_atom_site_fract_y
_atom_site_fract_z
_atom_site_occupancy
K1 K 0.000 0.113 0.250 1
Er1 Er 0.000 0.366 0.065 1
Cu1 Cu 0.000 0.160 0.750 1
Se1 Se 0.000 0.000 0.000 1
Se2 Se 0.000 0.265 0.611 1
Se3 Se 0.000 0.436 0.250 1
```